Li2CePrMo4O16: theoretical powder XRD pattern (Cu Kα, 1.54184 Å), based on a structure optimized by DFT (PBE+U).
Neutral-atom scattering factors, no anomalous dispersion.

Cell and atoms:
Lattice parameters (Å, degrees): 5.3224 5.3224 11.5373 90.00 90.00 90.00
Space group P-4 (No. 81)
One atom of each set of equivalent atoms:
Li1 0.0000 0.5000 0.2499 x2
Ce1 0.0000 0.0000 0.0000 x1
Pr1 0.5000 0.5000 0.5000 x1
Mo1 0.0000 0.0000 0.5000 x1
Mo2 0.0000 0.5000 0.7503 x2
Mo3 0.5000 0.5000 0.0000 x1
O1 0.1458 0.2570 0.8366 x4
O2 0.1485 0.7544 0.4161 x4
O3 0.2423 0.6465 0.6638 x4
O4 0.2540 0.3505 0.0836 x4

Main lines, in order of rising 2θ (2θ from 5° to 70°):
(hkl)  d [Å]  2theta  I (rel.)
0 0 2  5.769  15.36  17
1 0 1  4.833  18.36  29
1 1 2  3.152  28.31  100
0 0 4  2.884  31.00  12
2 0 0  2.661  33.68  17
2 0 4  1.956  46.43  31
2 2 0  1.882  48.37  13
1 1 6  1.712  53.52  16
3 1 2  1.616  57.00  27
2 2 4  1.576  58.58  12